Entry 1:
# PmPaGe2
Calculated powder XRD pattern, a wavelength of 1.5418 Å. Input: a cell relaxed with GGA-PBE.
Neutral-atom scattering factors, no anomalous dispersion.

Largest 10 diffraction maxima, by angle, 10 to 80 degrees two-theta:
| 2θ/deg | Rel. int. |
| --- | --- |
| 23.4 | 35 |
| 32.6 | 28 |
| 33.3 | 82 |
| 36.8 | 100 |
| 47.3 | 20 |
| 47.8 | 30 |
| 60.6 | 13 |
| 61.8 | 44 |
| 70.9 | 16 |
| 79.7 | 14 |

Structural model:
```
PmPaGe2
1.0
5.3816 0.0000 0.0000
0.0000 5.3816 0.0000
0.0000 0.0000 3.1887
Pm Pa Ge
1 1 2
Direct
0.0000 0.0000 0.0000 Pm
0.5000 0.5000 0.8201 Pa
0.0000 0.5000 0.4200 Ge
0.5000 0.0000 0.4200 Ge
```

Entry 2:
# PmYCoSn
Calculated powder XRD pattern, a wavelength of 1.5418 Å. Input: a cell relaxed with GGA-PBE.
Neutral-atom scattering factors, no anomalous dispersion.

Largest 10 diffraction maxima, by angle, 10 to 80 degrees two-theta:
| 2θ/deg | Rel. int. |
| --- | --- |
| 21.1 | 8 |
| 24.4 | 2 |
| 34.8 | 100 |
| 41.0 | 5 |
| 50.0 | 18 |
| 54.8 | 2 |
| 62.3 | 36 |
| 66.6 | 2 |
| 73.4 | 11 |
| 77.4 | 2 |

Structural model:
```
PmYCoSn
1.0
0.0000 3.6490 3.6490
3.6490 0.0000 3.6490
3.6490 3.6490 0.0000
Pm Y Co Sn
1 1 1 1
Direct
0.0000 0.0000 0.0000 Pm
0.5000 0.5000 0.5000 Y
0.7500 0.7500 0.7500 Co
0.2500 0.2500 0.2500 Sn
```

Entry 3:
# BaSr2Cl
Calculated powder XRD pattern, a wavelength of 1.5418 Å. Input: a cell relaxed with GGA-PBE.
Neutral-atom scattering factors, no anomalous dispersion.

Largest 10 diffraction maxima, by angle, 10 to 80 degrees two-theta:
| 2θ/deg | Rel. int. |
| --- | --- |
| 20.6 | 27 |
| 22.1 | 53 |
| 23.8 | 26 |
| 26.1 | 63 |
| 26.8 | 100 |
| 29.9 | 54 |
| 34.0 | 23 |
| 38.6 | 52 |
| 45.5 | 23 |
| 50.4 | 41 |

Structural model:
```
BaSr2Cl
1.0
4.1350 0.0000 0.0000
0.0000 4.3136 0.0000
0.0000 0.0000 11.2263
Ba Sr Cl
1 2 1
Direct
0.0000 0.0000 0.0000 Ba
0.0000 0.0000 0.4248 Sr
0.5000 0.5000 0.7033 Sr
0.5000 0.0000 0.2240 Cl
```

Please write out number 3 again, unchanged.
# BaSr2Cl
Calculated powder XRD pattern, a wavelength of 1.5418 Å. Input: a cell relaxed with GGA-PBE.
Neutral-atom scattering factors, no anomalous dispersion.

Largest 10 diffraction maxima, by angle, 10 to 80 degrees two-theta:
| 2θ/deg | Rel. int. |
| --- | --- |
| 20.6 | 27 |
| 22.1 | 53 |
| 23.8 | 26 |
| 26.1 | 63 |
| 26.8 | 100 |
| 29.9 | 54 |
| 34.0 | 23 |
| 38.6 | 52 |
| 45.5 | 23 |
| 50.4 | 41 |

Structural model:
```
BaSr2Cl
1.0
4.1350 0.0000 0.0000
0.0000 4.3136 0.0000
0.0000 0.0000 11.2263
Ba Sr Cl
1 2 1
Direct
0.0000 0.0000 0.0000 Ba
0.0000 0.0000 0.4248 Sr
0.5000 0.5000 0.7033 Sr
0.5000 0.0000 0.2240 Cl
```